No. 1
Diffraction record for TbYGeRu. The powder diffractogram is calculated, not measured: it uses a cell relaxed with PBE and Cu Kα.
Neutral-atom scattering factors, no anomalous dispersion.

Structural model:
Unit cell a=3.907 b=5.817 c=5.817 alpha=42.86 beta=90.00 gamma=90.00
Sites, in units of the cell vectors:
Tb1 0.000 0.000 0.000
Y1 0.500 0.718 0.718
Ge1 0.500 0.422 0.422
Ru1 0.000 0.270 0.270

Main lines, sorted by position (15 to 90 degrees two-theta):
| d_spacing | I (rel.) |
| --- | --- |
| 2.780 | 100 |
| 2.752 | 38 |
| 2.707 | 26 |
| 2.250 | 60 |
| 2.225 | 27 |
| 2.126 | 27 |
| 1.954 | 21 |
| 1.537 | 17 |

=====

No. 2
Diffraction record for Hf3Ni3Rh2. The powder diffractogram is calculated, not measured: it uses a cell relaxed with PBE and Cu Kα.
Neutral-atom scattering factors, no anomalous dispersion.

Structural model:
Unit cell a=6.562 b=6.562 c=3.438 alpha=90.00 beta=90.00 gamma=120.00
Sites, in units of the cell vectors:
Hf1 0.000 0.360 0.000
Hf2 0.360 0.000 0.000
Hf3 0.640 0.640 0.000
Ni1 0.000 0.781 0.500
Ni2 0.219 0.219 0.500
Ni3 0.781 0.000 0.500
Rh1 0.333 0.667 0.500
Rh2 0.667 0.333 0.500

Main lines, sorted by position (15 to 90 degrees two-theta):
| d_spacing | I (rel.) |
| --- | --- |
| 3.281 | 30 |
| 2.374 | 100 |
| 2.190 | 12 |
| 2.148 | 16 |
| 1.894 | 25 |
| 1.481 | 11 |
| 1.273 | 13 |
| 1.167 | 18 |

=====

No. 3
Diffraction record for Ta5Nb4Au. The powder diffractogram is calculated, not measured: it uses a cell relaxed with PBE and Cu Kα.
Neutral-atom scattering factors, no anomalous dispersion.

Structural model:
Unit cell a=3.346 b=3.346 c=16.246 alpha=90.00 beta=90.00 gamma=90.00
Sites, in units of the cell vectors:
Ta1 0.000 0.000 0.000
Ta2 0.000 0.000 0.204
Ta3 0.000 0.000 0.397
Ta4 0.000 0.000 0.603
Ta5 0.000 0.000 0.796
Nb1 0.500 0.500 0.100
Nb2 0.500 0.500 0.303
Nb3 0.500 0.500 0.697
Nb4 0.500 0.500 0.900
Au1 0.500 0.500 0.500

Main lines, sorted by position (15 to 90 degrees two-theta):
| d_spacing | I (rel.) |
| --- | --- |
| 2.366 | 53 |
| 2.331 | 100 |
| 1.673 | 18 |
| 1.625 | 8 |
| 1.359 | 36 |
| 1.339 | 17 |
| 1.183 | 6 |
| 1.166 | 11 |